The following is a simulated X-ray diffraction stick pattern of NaNd3Ti3MnO12. It was derived from a DFT-relaxed cell (PBE+U, the Materials Project), using Cu Kα (λ = 1.5418 Å).
Peak positions follow from Bragg's law for the DFT cell and can differ from measured ones.

Crystal structure
Cell lengths 5.4992, 5.6570, 7.8855 Å; angles 89.87, 89.76, 89.88 degrees
Space group P1 (No. 1)
Inequivalent atoms, fractional coordinates:
1 Na 0.0000 0.0000 0.0000 x1
2 Nd 0.0153 0.0690 0.5131 x1
3 Nd 0.4913 0.5694 0.5047 x1
4 Nd 0.5198 0.4678 0.9918 x1
5 Ti 0.0011 0.5392 0.2540 x1
6 Ti 0.0063 0.5223 0.7665 x1
7 Ti 0.5126 0.0298 0.2417 x1
8 Mn 0.5068 0.0139 0.7570 x1
9 O 0.0902 0.5412 0.0040 x1
10 O 0.2016 0.7896 0.6892 x1
11 O 0.2103 0.7911 0.3062 x1
12 O 0.2792 0.2988 0.2993 x1
13 O 0.2873 0.3223 0.7031 x1
14 O 0.4192 0.0366 0.0171 x1
15 O 0.5966 0.9904 0.4844 x1
16 O 0.7073 0.6951 0.7806 x1
17 O 0.7067 0.7154 0.2099 x1
18 O 0.7728 0.2419 0.2035 x1
19 O 0.8140 0.2386 0.7892 x1
20 O 0.9164 0.4900 0.4889 x1

Top 12 peaks for 2θ from 10° to 90°, low angle first:
index, 2theta, I/Imax
0 0 1, 11.2, 25
0 0 2, 22.5, 40
1 -1 1, 25.2, 27
0 2 0, 31.6, 45
1 -1 2, 32.1, 100
1 1 -2, 32.2, 99
2 0 0, 32.6, 47
0 2 -2, 39.2, 20
0 0 4, 46.0, 58
2 -2 0, 46.1, 25
3 1 2, 57.7, 21
3 1 -2, 57.9, 22

***

The following is a simulated X-ray diffraction stick pattern of NaNd3Ti3MnO12. It was derived from a DFT-relaxed cell (PBE+U, the Materials Project), using Cu Kα (λ = 1.5418 Å).
Peak positions follow from Bragg's law for the DFT cell and can differ from measured ones.

Crystal structure
Cell lengths 5.5281, 5.5349, 15.7370 Å; angles 90.00, 90.09, 90.00 degrees
Space group P2_1 (No. 4)
Inequivalent atoms, fractional coordinates:
1 Na 0.2501 0.0000 0.1225 x2
2 Nd 0.2354 0.0293 0.3752 x2
3 Nd 0.2422 0.0216 0.8817 x2
4 Nd 0.2644 0.9923 0.6251 x2
5 Ti 0.2484 0.5142 0.2448 x2
6 Ti 0.2512 0.5091 0.0006 x2
7 Ti 0.2526 0.5005 0.7544 x2
8 Mn 0.2501 0.5100 0.4998 x2
9 O 0.0001 0.2603 0.9801 x2
10 O 0.0009 0.2541 0.7762 x2
11 O 0.0078 0.7664 0.7258 x2
12 O 0.0117 0.7714 0.5289 x2
13 O 0.2385 0.4141 0.6356 x2
14 O 0.2465 0.4349 0.1234 x2
15 O 0.2502 0.5953 0.8759 x2
16 O 0.2628 0.6085 0.3636 x2
17 O 0.4826 0.2412 0.7762 x2
18 O 0.4876 0.2476 0.4710 x2
19 O 0.4937 0.2544 0.9796 x2
20 O 0.4950 0.2505 0.2746 x2

Top 12 peaks for 2θ from 10° to 90°, low angle first:
index, 2theta, I/Imax
0 1 2, 19.6, 13
1 1 0, 22.7, 10
1 0 -3, 23.4, 8
1 1 4, 32.3, 100
2 0 0, 32.4, 20
2 0 4, 39.8, 21
0 0 8, 46.1, 12
2 2 0, 46.4, 26
2 0 8, 57.5, 18
1 3 4, 57.7, 33
2 2 8, 67.5, 12
3 3 4, 77.1, 9